[1]
Simulated powder X-ray diffraction pattern of SmThPdAu for Cu Kα, 1.54184 Å, from a PBE-relaxed structure.
Lines closer than 0.1° are merged.

Cell and atoms:
```
data_SmThPdAu
_symmetry_space_group_name_H-M 'A m m 2'
_symmetry_Int_Tables_number 38
_symmetry_space_group_name_Hall 'A 2 -2'
_cell_length_a 4.589
_cell_length_b 3.852
_cell_length_c 11.400
_cell_angle_alpha 90.00
_cell_angle_beta 90.00
_cell_angle_gamma 90.00
loop_
_atom_site_label
_atom_site_fract_x
_atom_site_fract_y
_atom_site_fract_z
Sm1 0.000 0.000 0.000
Th1 0.500 0.000 0.275
Pd1 0.000 0.000 0.733
Au1 0.500 0.000 0.555
```

Main lines, low angle first (10° ≤ 2θ ≤ 80°):
d = 2.855 Å, intensity 100.0, hkl 0 0 4
d = 2.705 Å, intensity 16.6, hkl 0 1 3
d = 2.421 Å, intensity 16.2, hkl 1 0 4
d = 2.330 Å, intensity 54.1, hkl 1 1 3
d = 2.295 Å, intensity 23.2, hkl 2 0 0
d = 1.926 Å, intensity 13.8, hkl 0 2 0
d = 1.787 Å, intensity 14.1, hkl 2 0 4
d = 1.475 Å, intensity 11.7, hkl 2 2 0
d = 1.310 Å, intensity 10.2, hkl 2 2 4
d = 1.256 Å, intensity 10.5, hkl 2 1 7


[2]
Simulated powder X-ray diffraction pattern of CdAg2Pd4 for Cu Kα, 1.54184 Å, from a PBE-relaxed structure.
Lines closer than 0.1° are merged.

Cell and atoms:
```
data_CdAg2Pd4
_symmetry_space_group_name_H-M 'I -4 2 d'
_symmetry_Int_Tables_number 122
_symmetry_space_group_name_Hall 'I -4 2bw'
_cell_length_a 7.938
_cell_length_b 7.938
_cell_length_c 7.971
_cell_angle_alpha 90.00
_cell_angle_beta 90.00
_cell_angle_gamma 90.00
loop_
_atom_site_label
_atom_site_fract_x
_atom_site_fract_y
_atom_site_fract_z
Cd1 0.000 0.000 0.000
Ag1 0.126 0.250 0.625
Pd1 0.084 0.166 0.293
```

Main lines, low angle first (10° ≤ 2θ ≤ 80°):
d = 3.245 Å, intensity 17.3, hkl 2 1 1
d = 2.520 Å, intensity 51.2, hkl 1 0 3
d = 2.511 Å, intensity 100.0, hkl 3 0 1
d = 2.125 Å, intensity 85.9, hkl 3 1 2
d = 2.122 Å, intensity 43.1, hkl 3 2 1
d = 1.776 Å, intensity 14.3, hkl 4 2 0
d = 1.695 Å, intensity 13.9, hkl 3 2 3
d = 1.621 Å, intensity 17.2, hkl 4 2 2
d = 1.288 Å, intensity 25.3, hkl 6 1 1
d = 1.227 Å, intensity 15.0, hkl 4 1 5


[3]
Simulated powder X-ray diffraction pattern of FeNi for Cu Kα, 1.54184 Å, from a PBE-relaxed structure.
Lines closer than 0.1° are merged.

Cell and atoms:
```
data_FeNi
_symmetry_space_group_name_H-M 'P 63/m m c'
_symmetry_Int_Tables_number 194
_symmetry_space_group_name_Hall '-P 6c 2c'
_cell_length_a 2.5280
_cell_length_b 2.5280
_cell_length_c 8.2209
_cell_angle_alpha 90.00
_cell_angle_beta 90.00
_cell_angle_gamma 120.00
loop_
_atom_site_label
_atom_site_fract_x
_atom_site_fract_y
_atom_site_fract_z
Fe1 0.0000 0.0000 0.0000
Ni1 0.3333 0.6667 0.2500
```

Main lines, low angle first (10° ≤ 2θ ≤ 80°):
d = 4.110 Å, intensity 0.5, hkl 0 0 2
d = 2.189 Å, intensity 6.2, hkl 1 0 0
d = 2.116 Å, intensity 51.4, hkl 1 0 1
d = 2.055 Å, intensity 37.6, hkl 0 0 4
d = 1.932 Å, intensity 100.0, hkl 1 0 2
d = 1.710 Å, intensity 25.3, hkl 1 0 3
d = 1.498 Å, intensity 3.2, hkl 1 0 4
d = 1.315 Å, intensity 9.8, hkl 1 0 5
d = 1.264 Å, intensity 20.2, hkl 1 1 0


[4]
Simulated powder X-ray diffraction pattern of Nd3In3Cu2 for Cu Kα, 1.54184 Å, from a PBE-relaxed structure.
Lines closer than 0.1° are merged.

Cell and atoms:
```
data_Nd3In3Cu2
_symmetry_space_group_name_H-M 'P n m a'
_symmetry_Int_Tables_number 62
_symmetry_space_group_name_Hall '-P 2ac 2n'
_cell_length_a 8.518
_cell_length_b 16.028
_cell_length_c 5.884
_cell_angle_alpha 90.00
_cell_angle_beta 90.00
_cell_angle_gamma 90.00
loop_
_atom_site_label
_atom_site_fract_x
_atom_site_fract_y
_atom_site_fract_z
Nd1 0.037 0.111 0.117
Nd2 0.176 0.250 0.630
In1 0.172 0.750 0.622
In2 0.187 0.036 0.610
Cu1 0.099 0.610 0.380
```

Main lines, low angle first (10° ≤ 2θ ≤ 80°):
d = 3.087 Å, intensity 48.4, hkl 1 4 1
d = 2.918 Å, intensity 100.0, hkl 2 4 0
d = 2.781 Å, intensity 56.4, hkl 1 0 2
d = 2.740 Å, intensity 46.6, hkl 1 1 2
d = 2.672 Å, intensity 47.5, hkl 0 6 0
d = 2.614 Å, intensity 75.3, hkl 2 4 1
d = 2.557 Å, intensity 77.2, hkl 3 0 1
d = 2.467 Å, intensity 64.9, hkl 1 3 2
d = 2.285 Å, intensity 48.6, hkl 1 4 2
d = 2.003 Å, intensity 50.4, hkl 4 0 1


[5]
Simulated powder X-ray diffraction pattern of TbCe5Tl8 for Cu Kα, 1.54184 Å, from a PBE-relaxed structure.
Lines closer than 0.1° are merged.

Cell and atoms:
```
data_TbCe5Tl8
_symmetry_space_group_name_H-M 'I -4'
_symmetry_Int_Tables_number 82
_symmetry_space_group_name_Hall 'I -4'
_cell_length_a 9.536
_cell_length_b 9.536
_cell_length_c 9.423
_cell_angle_alpha 90.00
_cell_angle_beta 90.00
_cell_angle_gamma 90.00
loop_
_atom_site_label
_atom_site_fract_x
_atom_site_fract_y
_atom_site_fract_z
Tb1 0.000 0.000 0.000
Ce1 0.000 0.500 0.250
Ce2 0.120 0.745 0.623
Tl1 0.078 0.835 0.287
Tl2 0.087 0.675 0.961
```

Main lines, low angle first (10° ≤ 2θ ≤ 80°):
d = 3.885 Å, intensity 16.1, hkl 2 1 1
d = 3.014 Å, intensity 100.0, hkl 3 1 0
d = 2.983 Å, intensity 46.4, hkl 1 0 3
d = 2.543 Å, intensity 89.9, hkl 3 1 2
d = 2.529 Å, intensity 49.2, hkl 2 1 3
d = 1.943 Å, intensity 28.1, hkl 2 4 2
d = 1.931 Å, intensity 10.4, hkl 2 2 4
d = 1.869 Å, intensity 10.0, hkl 3 4 1
d = 1.546 Å, intensity 21.2, hkl 1 6 1
d = 1.507 Å, intensity 12.2, hkl 6 2 0


[6]
Simulated powder X-ray diffraction pattern of U2Co3B for Cu Kα, 1.54184 Å, from a PBE-relaxed structure.
Lines closer than 0.1° are merged.

Cell and atoms:
```
data_U2Co3B
_symmetry_space_group_name_H-M 'R -3 m'
_symmetry_Int_Tables_number 166
_symmetry_space_group_name_Hall '-R 3 2"'
_cell_length_a 5.0034
_cell_length_b 5.0034
_cell_length_c 10.8317
_cell_angle_alpha 90.00
_cell_angle_beta 90.00
_cell_angle_gamma 120.00
loop_
_atom_site_label
_atom_site_fract_x
_atom_site_fract_y
_atom_site_fract_z
U1 0.0000 0.0000 0.1246
Co1 0.0000 0.5000 0.0000
B1 0.0000 0.0000 0.5000
```

Main lines, low angle first (10° ≤ 2θ ≤ 80°):
d = 4.023 Å, intensity 100.0, hkl 1 0 1
d = 2.502 Å, intensity 78.3, hkl 1 1 0
d = 2.296 Å, intensity 99.6, hkl 1 0 4
d = 2.124 Å, intensity 76.4, hkl 0 2 1
d = 2.056 Å, intensity 83.9, hkl 1 1 3
d = 1.938 Å, intensity 36.1, hkl 0 1 5
d = 1.401 Å, intensity 43.4, hkl 2 1 4
d = 1.341 Å, intensity 21.6, hkl 3 0 3
d = 1.306 Å, intensity 20.5, hkl 1 2 5
d = 1.251 Å, intensity 23.5, hkl 2 2 0


Number 5 is which compound? TbCe5Tl8